# 1
Na5Mn2P2C2O14: simulated X-ray powder pattern (Cu Kα (λ = 1.5418 Å)), based on a cell relaxed with GGA+U.
Peak positions follow from Bragg's law for the DFT cell and can differ from measured ones.

```
Na5Mn2P2C2O14
1.0
5.2489 0.0000 0.0000
0.0000 6.6437 0.0000
-0.3230 0.0000 17.9647
Na Mn P C O
10 4 4 4 28
direct
0.2401 0.2500 0.2884
0.2447 0.5099 0.1242
0.2447 0.9901 0.1242
0.2483 0.0044 0.6262
0.2483 0.4956 0.6262
0.7517 0.5044 0.3738
0.7517 0.9956 0.3738
0.7553 0.0099 0.8758
0.7553 0.4901 0.8758
0.7599 0.7500 0.7116
0.2213 0.7500 0.4269
0.2207 0.7500 0.9288
0.7793 0.2500 0.0712
0.7787 0.2500 0.5731
0.2958 0.2500 0.9602
0.2980 0.2500 0.4596
0.7020 0.7500 0.5404
0.7042 0.7500 0.0398
0.2690 0.7500 0.7819
0.2698 0.7500 0.2850
0.7302 0.2500 0.7150
0.7310 0.2500 0.2181
0.0497 0.7500 0.8152
0.0515 0.7500 0.3209
0.1658 0.2500 0.5356
0.1720 0.2500 0.0382
0.2173 0.0592 0.9151
0.2173 0.4408 0.9151
0.2242 0.0644 0.4109
0.2242 0.4356 0.4109
0.2753 0.7500 0.2146
0.2779 0.7500 0.7102
0.4042 0.7500 0.0297
0.4045 0.7500 0.5272
0.4729 0.7500 0.3281
0.4755 0.7500 0.8228
0.5245 0.2500 0.1772
0.5271 0.2500 0.6719
0.5955 0.2500 0.4728
0.5958 0.2500 0.9703
0.7221 0.2500 0.2898
0.7247 0.2500 0.7854
0.7758 0.5644 0.5891
0.7758 0.9356 0.5891
0.7827 0.5592 0.0849
0.7827 0.9408 0.0849
0.8280 0.7500 0.9618
0.8342 0.7500 0.4644
0.9485 0.2500 0.6791
0.9503 0.2500 0.1848
```

Largest 12 diffraction maxima, by intensity, 2θ = 5–70°:
Position (°2θ), intensity
9.8, 100
34.2, 73
33.6, 65
26.8, 55
48.9, 37
25.9, 33
33.4, 33
16.6, 31
55.3, 23
23.9, 17
41.8, 17
37.4, 15



# 2
Na2MnPCO7: simulated X-ray powder pattern (Cu Kα (λ = 1.5418 Å)), based on a cell relaxed with GGA+U.
Peak positions follow from Bragg's law for the DFT cell and can differ from measured ones.

```
Na2MnPCO7
1.0
5.2455 0.0000 0.0000
0.2489 8.9796 0.0000
0.0481 0.0378 13.3604
Na Mn P C O
8 4 4 4 28
direct
0.0000 0.0000 0.0000
0.0004 0.0036 0.2489
0.5073 0.5134 0.7555
0.5104 0.5017 0.4809
0.5116 0.5023 0.9980
0.5232 0.8168 0.1384
0.9913 0.9905 0.7482
0.9932 0.9918 0.5048
0.5239 0.1077 0.8760
0.5357 0.1040 0.3762
0.9675 0.4003 0.6249
0.9747 0.3988 0.1295
0.0396 0.3285 0.3719
0.0438 0.3305 0.8800
0.4521 0.1723 0.1226
0.4652 0.1770 0.6278
0.0221 0.6717 0.6246
0.0316 0.6862 0.1217
0.4752 0.8258 0.8752
0.4827 0.8326 0.3771
0.0060 0.8299 0.1257
0.0362 0.8102 0.6253
0.1528 0.2030 0.1270
0.1677 0.2108 0.6261
0.2179 0.5771 0.6234
0.2459 0.6169 0.1162
0.2676 0.9070 0.8726
0.2880 0.9306 0.3774
0.3310 0.2859 0.3795
0.3445 0.3018 0.8782
0.4636 0.6964 0.3761
0.4885 0.6861 0.8787
0.5050 0.0728 0.0281
0.5252 0.0701 0.2121
0.5304 0.0889 0.7246
0.5413 0.0802 0.5379
0.5915 0.3186 0.1188
0.6017 0.3290 0.6261
0.6871 0.9050 0.8758
0.7037 0.9019 0.3747
0.8028 0.6026 0.6250
0.8234 0.6071 0.1250
0.8930 0.1789 0.3726
0.9147 0.1774 0.8786
0.9650 0.4238 0.4630
0.9689 0.4256 0.7888
0.9783 0.4180 0.9774
0.9863 0.4170 0.2751
```

Largest 12 diffraction maxima, by intensity, 2θ = 5–70°:
Position (°2θ), intensity
9.9, 100
26.7, 43
16.5, 35
34.2, 33
25.8, 32
33.5, 22
33.4, 19
41.8, 17
21.5, 16
19.8, 15
55.0, 15
19.4, 14



# 3
NaMnPCO7: simulated X-ray powder pattern (Cu Kα (λ = 1.5418 Å)), based on a cell relaxed with GGA+U.
Peak positions follow from Bragg's law for the DFT cell and can differ from measured ones.

```
NaMnPCO7
1.0
5.1585 0.0000 0.0000
-0.1721 6.1914 0.0000
-0.2628 -0.2928 9.4272
Na Mn P C O
2 2 2 2 14
direct
0.2472 0.4482 0.2300
0.7528 0.5518 0.7700
0.2843 0.2523 0.6496
0.7157 0.7477 0.3504
0.2213 0.7435 0.5621
0.7787 0.2565 0.4379
0.2081 0.2505 0.9005
0.7919 0.7495 0.0995
0.0260 0.2276 0.7976
0.0727 0.2441 0.4750
0.1646 0.2583 0.0279
0.2534 0.5653 0.6749
0.3331 0.9484 0.6406
0.3712 0.6890 0.4275
0.4395 0.2667 0.8441
0.5605 0.7333 0.1559
0.6288 0.3110 0.5725
0.6669 0.0516 0.3594
0.7466 0.4347 0.3251
0.8354 0.7417 0.9721
0.9273 0.7559 0.5250
0.9740 0.7724 0.2024
```

Largest 12 diffraction maxima, by intensity, 2θ = 5–70°:
Position (°2θ), intensity
9.4, 100
28.9, 25
19.9, 21
25.2, 21
16.9, 17
17.4, 15
34.8, 14
24.1, 13
19.4, 12
37.5, 9
26.0, 8
14.3, 8